Simulated X-ray diffraction stick pattern
Compound: Y3MgCu8
Radiation: Cu Kα, 1.54184 Å
Structure: a crystal structure in Alexandria, relaxed with GGA-PBE
Lines closer than 0.1° are merged.

Structure:
```
data_Y3MgCu8
_cell_length_a 5.2056
_cell_length_b 5.2056
_cell_length_c 25.4354
_cell_angle_alpha 90.00
_cell_angle_beta 90.00
_cell_angle_gamma 120.00
_space_group_name_H-M_alt 'R 3 m'
_space_group_IT_number 160
_space_group_name_Hall 'R 3 -2"'
loop_
_atom_site_label
_atom_site_fract_x
_atom_site_fract_y
_atom_site_fract_z
Y1 0.0000 0.0000 0.0000
Y2 0.0000 0.0000 0.1260
Y3 0.0000 0.0000 0.5107
Mg1 0.0000 0.0000 0.6338
Cu1 0.0000 0.0000 0.3166
Cu2 0.0000 0.0000 0.8182
Cu3 0.1672 0.3345 0.4000
Cu4 0.1699 0.3397 0.9015
```

Peak list (10 most intense, 2θ = 10–90°, by angle)
2θ 34.49, I 293, (1 1 0)
2θ 40.68, I 1000, (1 0 10)
2θ 42.55, I 299, (0 2 4)
2θ 42.66, I 87, (0 0 12)
2θ 61.76, I 76, (3 0 0)
2θ 65.99, I 269, (2 1 10)
2θ 72.65, I 125, (2 2 0)
2θ 72.80, I 113, (0 2 16)
2θ 86.77, I 78, (1 3 10)
2θ 88.05, I 87, (4 0 4)